Entry 1:
Structure and theoretical PXRD pattern of Li4SnP2O8 (a crystal structure in Alexandria, relaxed with PBE; λ = 1.5418 Å (Cu Kα)).
Neutral-atom scattering factors, no anomalous dispersion.

Structure:
```
data_Li4SnP2O8
_chemical_formula_sum 'Li16 Sn4 P8 O32'
_symmetry_space_group_name_H-M 'P 1 21/c 1'
_symmetry_Int_Tables_number 14
_symmetry_space_group_name_Hall '-P 2ybc'
_cell_length_a 9.760
_cell_length_b 10.247
_cell_length_c 8.120
_cell_angle_alpha 90.00
_cell_angle_beta 96.79
_cell_angle_gamma 90.00
loop_
_atom_site_label
_atom_site_fract_x
_atom_site_fract_y
_atom_site_fract_z
_atom_site_occupancy
Li1 0.020 0.076 0.239 1
Li2 0.090 0.162 0.936 1
Li3 0.124 0.665 0.897 1
Li4 0.282 0.167 0.276 1
Sn1 0.391 0.651 0.223 1
P1 0.179 0.091 0.609 1
P2 0.219 0.596 0.563 1
O1 0.051 0.096 0.707 1
O2 0.089 0.654 0.462 1
O3 0.141 0.151 0.433 1
O4 0.193 0.047 0.111 1
O5 0.212 0.560 0.086 1
O6 0.256 0.678 0.727 1
O7 0.303 0.159 0.704 1
O8 0.346 0.609 0.465 1
```

Most intense lines, 2θ from 10° to 90°, by angle:
d_spacing, I (rel.)
7.041, 72
4.381, 69
4.035, 37
3.889, 83
3.859, 100
2.562, 34

=====

Entry 2:
Structure and theoretical PXRD pattern of Li2Sn3P4O14 (a crystal structure in Alexandria, relaxed with PBE; λ = 1.5418 Å (Cu Kα)).
Neutral-atom scattering factors, no anomalous dispersion.

Structure:
```
data_Li2Sn3P4O14
_chemical_formula_sum 'Li2 Sn3 P4 O14'
_symmetry_space_group_name_H-M 'P -1'
_symmetry_Int_Tables_number 2
_symmetry_space_group_name_Hall '-P 1'
_cell_length_a 6.314
_cell_length_b 7.580
_cell_length_c 8.070
_cell_angle_alpha 104.03
_cell_angle_beta 98.30
_cell_angle_gamma 113.24
loop_
_atom_site_label
_atom_site_fract_x
_atom_site_fract_y
_atom_site_fract_z
_atom_site_occupancy
Li1 0.215 0.037 0.303 1
Sn1 0.186 0.469 0.702 1
Sn2 0.500 0.000 0.000 1
P1 0.149 0.306 0.067 1
P2 0.413 0.737 0.333 1
O1 0.075 0.715 0.867 1
O2 0.098 0.259 0.864 1
O3 0.203 0.674 0.419 1
O4 0.267 0.184 0.130 1
O5 0.343 0.546 0.149 1
O6 0.354 0.233 0.551 1
O7 0.436 0.915 0.267 1
```

Most intense lines, 2θ from 10° to 90°, by angle:
d_spacing, I (rel.)
4.304, 41
3.866, 100
3.547, 40
3.123, 52
3.052, 85
2.850, 41

=====

Entry 3:
Structure and theoretical PXRD pattern of LiSnP2O7 (a crystal structure in Alexandria, relaxed with PBE; λ = 1.5418 Å (Cu Kα)).
Neutral-atom scattering factors, no anomalous dispersion.

Structure:
```
data_LiSnP2O7
_chemical_formula_sum 'Li2 Sn2 P4 O14'
_symmetry_space_group_name_H-M 'P 1 21 1'
_symmetry_Int_Tables_number 4
_symmetry_space_group_name_Hall 'P 2yb'
_cell_length_a 5.049
_cell_length_b 8.859
_cell_length_c 7.296
_cell_angle_alpha 90.00
_cell_angle_beta 108.43
_cell_angle_gamma 90.00
loop_
_atom_site_label
_atom_site_fract_x
_atom_site_fract_y
_atom_site_fract_z
_atom_site_occupancy
Li1 0.188 0.000 0.153 1
Sn1 0.211 0.349 0.231 1
P1 0.214 0.055 0.576 1
P2 0.406 0.670 0.048 1
O1 0.053 0.533 0.371 1
O2 0.159 0.127 0.375 1
O3 0.226 0.813 0.018 1
O4 0.230 0.523 0.015 1
O5 0.378 0.907 0.587 1
O6 0.394 0.167 0.073 1
O7 0.409 0.177 0.725 1
```

Most intense lines, 2θ from 10° to 90°, by angle:
d_spacing, I (rel.)
5.454, 100
4.213, 29
3.460, 26
3.222, 54
3.136, 33
2.727, 24

=====

Entry 4:
Structure and theoretical PXRD pattern of LiSn4P3O12 (a crystal structure in Alexandria, relaxed with PBE; λ = 1.5418 Å (Cu Kα)).
Neutral-atom scattering factors, no anomalous dispersion.

Structure:
```
data_LiSn4P3O12
_chemical_formula_sum 'Li2 Sn8 P6 O24'
_symmetry_space_group_name_H-M 'P 63'
_symmetry_Int_Tables_number 173
_symmetry_space_group_name_Hall 'P 6c'
_cell_length_a 9.9395
_cell_length_b 9.9395
_cell_length_c 7.4329
_cell_angle_alpha 90.00
_cell_angle_beta 90.00
_cell_angle_gamma 120.00
loop_
_atom_site_label
_atom_site_fract_x
_atom_site_fract_y
_atom_site_fract_z
_atom_site_occupancy
Li1 0.3333 0.6667 0.0000 1
Sn1 0.0337 0.2808 0.7954 1
Sn2 0.3333 0.6667 0.4953 1
P1 0.0200 0.6063 0.8478 1
O1 0.0354 0.6974 0.0234 1
O2 0.0910 0.7293 0.6937 1
O3 0.1204 0.5252 0.8676 1
O4 0.1498 0.5164 0.3030 1
```

Most intense lines, 2θ from 10° to 90°, by angle:
d_spacing, I (rel.)
4.131, 25
3.721, 54
2.979, 100
2.869, 27
1.972, 29
1.909, 20

=====

Entry 5:
Structure and theoretical PXRD pattern of LiSnPO4 (a crystal structure in Alexandria, relaxed with PBE; λ = 1.5418 Å (Cu Kα)).
Neutral-atom scattering factors, no anomalous dispersion.

Structure:
```
data_LiSnPO4
_chemical_formula_sum 'Li6 Sn6 P6 O24'
_symmetry_space_group_name_H-M 'P 3 1 c'
_symmetry_Int_Tables_number 159
_symmetry_space_group_name_Hall 'P 3 -2c'
_cell_length_a 7.9595
_cell_length_b 7.9595
_cell_length_c 10.2653
_cell_angle_alpha 90.00
_cell_angle_beta 90.00
_cell_angle_gamma 120.00
loop_
_atom_site_label
_atom_site_fract_x
_atom_site_fract_y
_atom_site_fract_z
_atom_site_occupancy
Li1 0.0199 0.2324 0.0000 1
Sn1 0.0061 0.5757 0.2220 1
P1 0.0000 0.0000 0.2483 1
P2 0.3333 0.6667 0.5025 1
P3 0.3333 0.6667 0.9428 1
O1 0.0000 0.0000 0.3990 1
O2 0.0991 0.8883 0.1917 1
O3 0.2249 0.7723 0.8921 1
O4 0.2267 0.4535 0.5552 1
O5 0.3333 0.6667 0.0938 1
O6 0.3333 0.6667 0.3520 1
```

Most intense lines, 2θ from 10° to 90°, by angle:
d_spacing, I (rel.)
5.133, 54
3.980, 39
3.145, 89
2.861, 100
1.792, 46
1.533, 41

=====

Entry 6:
Structure and theoretical PXRD pattern of LiSnP2O7 (a crystal structure in Alexandria, relaxed with PBE; λ = 1.5418 Å (Cu Kα)).
Neutral-atom scattering factors, no anomalous dispersion.

Structure:
```
data_LiSnP2O7
_chemical_formula_sum 'Li4 Sn4 P8 O28'
_symmetry_space_group_name_H-M 'P -1'
_symmetry_Int_Tables_number 2
_symmetry_space_group_name_Hall '-P 1'
_cell_length_a 5.272
_cell_length_b 8.374
_cell_length_c 14.389
_cell_angle_alpha 75.83
_cell_angle_beta 87.70
_cell_angle_gamma 89.88
loop_
_atom_site_label
_atom_site_fract_x
_atom_site_fract_y
_atom_site_fract_z
_atom_site_occupancy
Li1 0.149 0.136 0.340 1
Li2 0.241 0.201 0.833 1
Sn1 0.237 0.123 0.110 1
Sn2 0.239 0.593 0.636 1
P1 0.257 0.281 0.517 1
P2 0.267 0.477 0.222 1
P3 0.276 0.765 0.053 1
P4 0.324 0.991 0.680 1
O1 0.001 0.533 0.252 1
O2 0.009 0.201 0.945 1
O3 0.090 0.295 0.429 1
O4 0.172 0.050 0.756 1
O5 0.172 0.394 0.580 1
O6 0.217 0.095 0.574 1
O7 0.226 0.814 0.680 1
O8 0.278 0.296 0.225 1
O9 0.319 0.573 0.113 1
O10 0.389 0.768 0.953 1
O11 0.394 0.985 0.325 1
O12 0.428 0.870 0.106 1
O13 0.462 0.696 0.517 1
O14 0.477 0.532 0.281 1
```

Most intense lines, 2θ from 10° to 90°, by angle:
d_spacing, I (rel.)
6.370, 100
4.287, 89
4.122, 84
3.954, 96
3.060, 48
2.959, 35

=====

Entry 7:
Structure and theoretical PXRD pattern of Li2SnP4O12 (a crystal structure in Alexandria, relaxed with PBE; λ = 1.5418 Å (Cu Kα)).
Neutral-atom scattering factors, no anomalous dispersion.

Structure:
```
data_Li2SnP4O12
_chemical_formula_sum 'Li4 Sn2 P8 O24'
_symmetry_space_group_name_H-M 'P 4/n b m'
_symmetry_Int_Tables_number 125
_cell_length_a 9.858
_cell_length_b 9.858
_cell_length_c 4.720
_cell_angle_alpha 90.00
_cell_angle_beta 90.00
_cell_angle_gamma 90.00
loop_
_symmetry_equiv_pos_as_xyz
'x,y,z'
'-x,-y,-z'
'-y+1/2,x,z'
'y+1/2,-x,-z'
'-x+1/2,-y+1/2,z'
'x+1/2,y+1/2,-z'
'y,-x+1/2,z'
'-y,x+1/2,-z'
'x,-y+1/2,-z'
'-x,y+1/2,z'
'-y+1/2,-x+1/2,-z'
'y+1/2,x+1/2,z'
'-x+1/2,y,-z'
'x+1/2,-y,z'
'y,x,-z'
'-y,-x,z'
loop_
_atom_site_label
_atom_site_fract_x
_atom_site_fract_y
_atom_site_fract_z
_atom_site_occupancy
Li1 0.000 0.000 0.000 1
Sn1 0.250 0.250 0.000 1
P1 0.040 0.750 0.500 1
O1 0.034 0.178 0.266 1
O2 0.143 0.643 0.654 1
```

Most intense lines, 2θ from 10° to 90°, by angle:
d_spacing, I (rel.)
6.971, 29
4.929, 35
3.908, 100
3.117, 35
2.804, 84
1.882, 25